Starting from a cell relaxed with PBE, the powder XRD pattern of Na3Tl6Hg2 was calculated for Cu Kα, 1.54184 Å.

```
data_Na3Tl6Hg2
_chemical_formula_sum 'Na3 Tl6 Hg2'
_cell_length_a 6.0113
_cell_length_b 6.1714
_cell_length_c 9.5840
_cell_angle_alpha 90.17
_cell_angle_beta 96.23
_cell_angle_gamma 114.64
_space_group_name_H-M_alt 'P 1'
_space_group_IT_number 1
loop_
_space_group_symop_operation_xyz
'x,y,z'
loop_
_atom_site_label
_atom_site_fract_x
_atom_site_fract_y
_atom_site_fract_z
Na1 0.0000 0.0000 0.0000
Na2 0.1933 0.2149 0.3564
Na3 0.8067 0.7851 0.6436
Tl1 0.2601 0.7419 0.4822
Tl2 0.2881 0.2974 0.7163
Tl3 0.3972 0.8347 0.8459
Tl4 0.6028 0.1653 0.1541
Tl5 0.7119 0.7026 0.2837
Tl6 0.7399 0.2581 0.5178
Hg1 0.1659 0.5918 0.1393
Hg2 0.8341 0.4082 0.8607
```

Top 6 peaks for 10° ≤ 2θ ≤ 80°, by angle:
| hkl | d/Å | two_theta | I (rel.) |
| --- | --- | --- | --- |
| 1 -1 0 | 5.114 | 17.34 | 90 |
| -1 1 3 | 2.777 | 32.23 | 76 |
| 0 2 -1 | 2.726 | 32.85 | 80 |
| 1 -1 3 | 2.620 | 34.23 | 85 |
| 1 1 2 | 2.573 | 34.87 | 100 |
| 2 -2 0 | 2.557 | 35.09 | 73 |